Structure and computed powder XRD pattern of CsThTe3 (a DFT-relaxed cell (GGA-PBE, Alexandria); Cu Kα).

Main lines, by intensity (2θ = 15–90°):
two_theta, I/Imax, hkl
25.54, 100, 3 1 -2
30.34, 99, 3 1 -3
25.24, 85, 4 0 1
20.61, 59, 1 1 -1
38.70, 56, 0 2 0
17.48, 54, 0 0 2
44.89, 46, 9 1 -2
31.54, 41, 5 1 0
42.92, 39, 1 1 4
23.29, 39, 3 1 -1

a = 20.243 Å, b = 4.653 Å, c = 11.487 Å
α = 90.00°, β = 117.91°, γ = 90.00°
Space group C2/m (No. 12)
Asymmetric unit:
Cs 0.110 0.000 0.285 (multiplicity 4)
Th 0.184 0.500 0.802 (multiplicity 4)
Te 0.010 0.500 0.628 (multiplicity 4)
Te 0.150 0.000 0.960 (multiplicity 4)
Te 0.223 0.000 0.666 (multiplicity 4)


Structure and computed powder XRD pattern of Cs4ThTe4 (a DFT-relaxed cell (GGA-PBE, Alexandria); Cu Kα).

Main lines, by intensity (2θ = 15–90°):
two_theta, I/Imax, hkl
24.31, 100, 3 1 -2
24.49, 46, 2 0 2
34.45, 31, 5 1 0
35.10, 31, 1 1 -4
36.25, 22, 0 2 0
44.24, 19, 2 2 2
27.83, 18, 3 1 -3
32.96, 13, 6 0 -4
41.81, 12, 7 1 -1
31.98, 10, 5 1 -3

a = 18.037 Å, b = 4.955 Å, c = 12.916 Å
α = 90.00°, β = 121.99°, γ = 90.00°
Space group C2/m (No. 12)
Asymmetric unit:
Cs 0.124 0.000 0.406 (multiplicity 4)
Cs 0.202 0.500 0.829 (multiplicity 4)
Th 0.000 0.500 0.000 (multiplicity 2)
Te 0.067 0.000 0.908 (multiplicity 4)
Te 0.180 0.500 0.250 (multiplicity 4)


Structure and computed powder XRD pattern of Cs2Th2Te5 (a DFT-relaxed cell (GGA-PBE, Alexandria); Cu Kα).

Main lines, by intensity (2θ = 15–90°):
two_theta, I/Imax, hkl
32.49, 100, 1 3 1
29.67, 69, 4 2 1
33.03, 57, 5 1 2
26.76, 49, 3 1 2
27.84, 38, 5 1 1
55.17, 34, 9 3 1
36.79, 29, 6 2 1
22.31, 29, 2 0 2
28.66, 23, 0 2 2
83.77, 22, 10 6 0

a = 18.683 Å, b = 8.807 Å, c = 8.817 Å
α = 90.00°, β = 90.00°, γ = 90.00°
Space group Cmce (No. 64)
Asymmetric unit:
Cs 0.204 0.000 0.000 (multiplicity 8)
Th 0.000 0.160 0.340 (multiplicity 8)
Te 0.000 0.000 0.000 (multiplicity 4)
Te 0.107 0.143 0.643 (multiplicity 16)